Nd6CoAg2: calculated XRD peak list (a wavelength of 1.5418 Å), based on a structure optimized by DFT (GGA-PBE).
Kinematic intensities with the Lorentz-polarization factor, no thermal factor.

Cell and atoms:
```
data_Nd6CoAg2
_chemical_formula_sum 'Nd12 Co2 Ag4'
_cell_length_a 6.9331
_cell_length_b 7.4771
_cell_length_c 12.5302
_cell_angle_alpha 90.00
_cell_angle_beta 123.59
_cell_angle_gamma 90.00
_symmetry_space_group_name_H-M 'P 1'
_symmetry_Int_Tables_number 1
_symmetry_space_group_name_Hall 'P 1'
loop_
_atom_site_label
_atom_site_fract_x
_atom_site_fract_y
_atom_site_fract_z
Nd1 0.1276 0.1899 0.4475
Nd2 0.1276 0.3101 0.9475
Nd3 0.2620 0.6902 0.4468
Nd4 0.2620 0.8098 0.9468
Nd5 0.3677 0.0134 0.2499
Nd6 0.3677 0.4866 0.7499
Nd7 0.6323 0.5134 0.2501
Nd8 0.6323 0.9866 0.7501
Nd9 0.7380 0.1902 0.0532
Nd10 0.7380 0.3098 0.5532
Nd11 0.8724 0.6899 0.0525
Nd12 0.8724 0.8101 0.5525
Co1 0.5000 0.0000 0.5000
Co2 0.5000 0.5000 0.0000
Ag1 0.1972 0.0980 0.7473
Ag2 0.1972 0.4020 0.2473
Ag3 0.8028 0.5980 0.7527
Ag4 0.8028 0.9020 0.2527
```

Principal peaks in the range 10 to 80 degrees two-theta, by angle:
- 2θ 28.4, 3.138 Å, rel. 49
- 2θ 28.7, 3.110 Å, rel. 87
- 2θ 29.4, 3.039 Å, rel. 99
- 2θ 29.7, 3.011 Å, rel. 100
- 2θ 31.2, 2.871 Å, rel. 46
- 2θ 32.2, 2.784 Å, rel. 58
- 2θ 33.3, 2.694 Å, rel. 49
- 2θ 35.3, 2.545 Å, rel. 66


Nd7Co2Ag2: calculated XRD peak list (a wavelength of 1.5418 Å), based on a structure optimized by DFT (GGA-PBE).
Kinematic intensities with the Lorentz-polarization factor, no thermal factor.

Cell and atoms:
```
data_Nd7Co2Ag2
_chemical_formula_sum 'Nd7 Co2 Ag2'
_cell_length_a 6.9153
_cell_length_b 6.9153
_cell_length_c 7.1158
_cell_angle_alpha 90.00
_cell_angle_beta 90.00
_cell_angle_gamma 111.42
_symmetry_space_group_name_H-M 'P 1'
_symmetry_Int_Tables_number 1
_symmetry_space_group_name_Hall 'P 1'
loop_
_atom_site_label
_atom_site_fract_x
_atom_site_fract_y
_atom_site_fract_z
Nd1 0.0000 0.0000 0.0000
Nd2 0.0000 0.5000 0.2505
Nd3 0.0000 0.5000 0.7495
Nd4 0.5000 0.0000 0.2505
Nd5 0.5000 0.0000 0.7495
Nd6 0.5000 0.5000 0.2404
Nd7 0.5000 0.5000 0.7596
Co1 0.3005 0.6995 0.0000
Co2 0.6995 0.3005 0.0000
Ag1 0.1742 0.1742 0.5000
Ag2 0.8258 0.8258 0.5000
```

Principal peaks in the range 10 to 80 degrees two-theta, by angle:
- 2θ 26.1, 3.417 Å, rel. 24
- 2θ 27.7, 3.219 Å, rel. 68
- 2θ 28.7, 3.114 Å, rel. 51
- 2θ 29.6, 3.020 Å, rel. 30
- 2θ 31.3, 2.857 Å, rel. 67
- 2θ 36.4, 2.466 Å, rel. 44
- 2θ 37.7, 2.387 Å, rel. 100
- 2θ 53.6, 1.710 Å, rel. 24


Co2NiAg: calculated XRD peak list (a wavelength of 1.5418 Å), based on a structure optimized by DFT (GGA-PBE).
Kinematic intensities with the Lorentz-polarization factor, no thermal factor.

Cell and atoms:
```
data_Co2NiAg
_chemical_formula_sum 'Co2 Ni1 Ag1'
_cell_length_a 2.6946
_cell_length_b 3.2846
_cell_length_c 5.7941
_cell_angle_alpha 90.00
_cell_angle_beta 90.00
_cell_angle_gamma 90.00
_symmetry_space_group_name_H-M 'P 1'
_symmetry_Int_Tables_number 1
_symmetry_space_group_name_Hall 'P 1'
loop_
_atom_site_label
_atom_site_fract_x
_atom_site_fract_y
_atom_site_fract_z
Co1 0.0000 0.0000 0.0000
Co2 0.5000 0.5000 0.1992
Ni1 0.0000 0.0000 0.4199
Ag1 0.5000 0.5000 0.7043
```

Principal peaks in the range 10 to 80 degrees two-theta, by angle:
- 2θ 31.3, 2.857 Å, rel. 18
- 2θ 36.8, 2.443 Å, rel. 12
- 2θ 41.6, 2.173 Å, rel. 100
- 2θ 43.4, 2.083 Å, rel. 98
- 2θ 46.0, 1.973 Å, rel. 73
- 2θ 56.0, 1.642 Å, rel. 22
- 2θ 66.0, 1.416 Å, rel. 11
- 2θ 75.3, 1.262 Å, rel. 31